Structure and simulated powder diffractogram of SrTb2S4 (a structure optimized by DFT (GGA-PBE); Cu Kα (weighted mean of Kα1 and Kα2)).
Lines closer than 0.1° are merged.

The 10 most intense peaks (10 to 90 degrees two-theta), sorted by position:
two_theta, I/Imax
14.6, 23
24.7, 46
25.3, 100
26.4, 89
26.6, 44
36.6, 60
37.2, 34
45.1, 63
45.5, 23
52.4, 28

Structural model:
```
SrTb2S4
1.0
12.110 0.000 0.000
0.000 4.018 0.000
0.000 0.000 14.446
Sr Tb S
4 8 16
direct
0.240 0.250 0.164
0.260 0.750 0.664
0.740 0.250 0.336
0.760 0.750 0.836
0.065 0.250 0.390
0.084 0.250 0.900
0.416 0.750 0.400
0.435 0.750 0.890
0.565 0.250 0.110
0.584 0.250 0.600
0.916 0.750 0.100
0.935 0.750 0.610
0.027 0.750 0.784
0.088 0.250 0.578
0.129 0.750 0.029
0.204 0.750 0.325
0.296 0.250 0.825
0.371 0.250 0.529
0.412 0.750 0.078
0.473 0.250 0.284
0.527 0.750 0.716
0.588 0.250 0.922
0.629 0.750 0.471
0.704 0.750 0.175
0.796 0.250 0.675
0.871 0.250 0.971
0.912 0.750 0.422
0.973 0.250 0.216
```